Entry 1:
Structure and calculated powder diffraction line list of CoI2O6 (a structure optimized by DFT (PBE+U); copper Kα).
No peak broadening, texture or thermal motion is included.

Cell and atoms:
Lattice parameters (Å, degrees): 11.071 11.071 5.197 90.00 90.00 120.00
Atoms (fractional coordinates):
Co: 0.000 0.000 0.000
Co: 0.003 0.510 0.494
Co: 0.490 0.493 0.494
Co: 0.507 0.997 0.494
I: 0.150 0.316 0.423
I: 0.166 0.850 0.423
I: 0.333 0.667 0.881
I: 0.347 0.167 0.912
I: 0.667 0.333 0.440
I: 0.684 0.834 0.423
I: 0.820 0.653 0.912
I: 0.833 0.180 0.912
O: 0.025 0.175 0.208
O: 0.041 0.684 0.269
O: 0.131 0.459 0.285
O: 0.150 0.975 0.208
O: 0.178 0.131 0.777
O: 0.179 0.656 0.722
O: 0.316 0.357 0.269
O: 0.328 0.869 0.285
O: 0.344 0.524 0.722
O: 0.368 0.037 0.726
O: 0.463 0.322 0.717
O: 0.476 0.821 0.722
O: 0.541 0.672 0.285
O: 0.553 0.170 0.264
O: 0.617 0.447 0.264
O: 0.643 0.959 0.269
O: 0.669 0.632 0.726
O: 0.678 0.141 0.717
O: 0.825 0.850 0.208
O: 0.830 0.383 0.264
O: 0.859 0.537 0.717
O: 0.869 0.047 0.777
O: 0.953 0.822 0.777
O: 0.963 0.331 0.726

Largest 6 diffraction maxima, by angle, 2θ from 10° to 90°:
| (hkl) | Position (°2θ) | Rel. int. |
| --- | --- | --- |
| 2 0 1 | 25.28 | 100.0 |
| 2 2 0 | 32.35 | 34.7 |
| 0 4 1 | 41.49 | 18.4 |
| 2 2 2 | 48.03 | 30.1 |
| 4 2 1 | 53.56 | 19.9 |
| 6 0 0 | 57.69 | 10.2 |

=====

Entry 2:
Structure and calculated powder diffraction line list of CoI2O6 (a structure optimized by DFT (PBE+U); copper Kα).
No peak broadening, texture or thermal motion is included.

Cell and atoms:
Lattice parameters (Å, degrees): 5.541 5.340 9.420 90.00 90.23 90.00
Atoms (fractional coordinates):
Co: 0.232 0.000 0.247
Co: 0.768 0.500 0.753
I: 0.264 0.429 0.565
I: 0.273 0.898 0.900
I: 0.727 0.398 0.100
I: 0.736 0.929 0.435
O: 0.020 0.774 0.381
O: 0.094 0.711 0.772
O: 0.142 0.789 0.068
O: 0.349 0.219 0.418
O: 0.444 0.214 0.099
O: 0.464 0.285 0.699
O: 0.536 0.785 0.301
O: 0.556 0.714 0.901
O: 0.651 0.719 0.582
O: 0.858 0.289 0.932
O: 0.906 0.211 0.228
O: 0.980 0.274 0.619

Largest 6 diffraction maxima, by angle, 2θ from 10° to 90°:
| (hkl) | Position (°2θ) | Rel. int. |
| --- | --- | --- |
| 1 1 1 | 25.02 | 100.0 |
| 0 1 2 | 25.21 | 45.8 |
| 2 0 0 | 32.31 | 17.0 |
| 1 0 3 | 32.84 | 16.1 |
| 2 2 0 | 47.28 | 14.5 |
| 1 2 3 | 47.63 | 28.0 |

=====

Entry 3:
Structure and calculated powder diffraction line list of PmCoIO6 (a structure optimized by DFT (PBE+U); copper Kα).
No peak broadening, texture or thermal motion is included.

Cell and atoms:
Lattice parameters (Å, degrees): 5.160 5.160 5.127 90.00 90.00 120.00
Atoms (fractional coordinates):
Pm: 0.000 0.000 0.000
Co: 0.333 0.667 0.500
I: 0.667 0.333 0.500
O: 0.013 0.373 0.715
O: 0.013 0.640 0.285
O: 0.360 0.373 0.285
O: 0.360 0.987 0.715
O: 0.627 0.640 0.715
O: 0.627 0.987 0.285

Largest 6 diffraction maxima, by angle, 2θ from 10° to 90°:
| (hkl) | Position (°2θ) | Rel. int. |
| --- | --- | --- |
| 1 0 1 | 26.46 | 100.0 |
| 1 1 0 | 34.77 | 32.2 |
| 2 0 1 | 44.22 | 23.4 |
| 2 -1 2 | 50.17 | 38.1 |
| 3 -1 1 | 57.44 | 22.4 |
| 3 0 0 | 62.33 | 11.4 |

=====

Entry 4:
Structure and calculated powder diffraction line list of CoSbIO2 (a structure optimized by DFT (PBE+U); copper Kα).
No peak broadening, texture or thermal motion is included.

Cell and atoms:
Lattice parameters (Å, degrees): 4.004 4.004 6.785 90.00 90.00 90.00
Atoms (fractional coordinates):
Co: 0.000 0.000 0.000
Sb: 0.500 0.500 0.500
I: 0.500 0.500 0.000
O: 0.000 0.500 0.500
O: 0.500 0.000 0.500

Largest 6 diffraction maxima, by angle, 2θ from 10° to 90°:
| (hkl) | Position (°2θ) | Rel. int. |
| --- | --- | --- |
| 1 0 0 | 22.20 | 85.9 |
| 0 0 2 | 26.27 | 100.0 |
| 1 1 0 | 31.60 | 78.4 |
| 1 0 2 | 34.66 | 54.8 |
| 1 1 2 | 41.54 | 74.5 |
| 2 0 2 | 53.12 | 52.8 |

=====

Repeat the second record exactly.
Structure and calculated powder diffraction line list of CoI2O6 (a structure optimized by DFT (PBE+U); copper Kα).
No peak broadening, texture or thermal motion is included.

Cell and atoms:
Lattice parameters (Å, degrees): 5.541 5.340 9.420 90.00 90.23 90.00
Atoms (fractional coordinates):
Co: 0.232 0.000 0.247
Co: 0.768 0.500 0.753
I: 0.264 0.429 0.565
I: 0.273 0.898 0.900
I: 0.727 0.398 0.100
I: 0.736 0.929 0.435
O: 0.020 0.774 0.381
O: 0.094 0.711 0.772
O: 0.142 0.789 0.068
O: 0.349 0.219 0.418
O: 0.444 0.214 0.099
O: 0.464 0.285 0.699
O: 0.536 0.785 0.301
O: 0.556 0.714 0.901
O: 0.651 0.719 0.582
O: 0.858 0.289 0.932
O: 0.906 0.211 0.228
O: 0.980 0.274 0.619

Largest 6 diffraction maxima, by angle, 2θ from 10° to 90°:
| (hkl) | Position (°2θ) | Rel. int. |
| --- | --- | --- |
| 1 1 1 | 25.02 | 100.0 |
| 0 1 2 | 25.21 | 45.8 |
| 2 0 0 | 32.31 | 17.0 |
| 1 0 3 | 32.84 | 16.1 |
| 2 2 0 | 47.28 | 14.5 |
| 1 2 3 | 47.63 | 28.0 |